No. 1
This entry pairs a crystal structure of CaEuNbFeO6 with its theoretical powder XRD pattern. Radiation: Cu Kα, 1.54184 Å. Structure: the PBE+U geometry in the Materials Project.
No peak broadening, texture or thermal motion is included.

Cell and atoms:
a = 5.6554 Å, b = 5.6554 Å, c = 5.6554 Å
α = 60.00°, β = 60.00°, γ = 60.00°
Sites, in units of the cell vectors:
1 Ca 0.0000 0.0000 0.0000
2 Eu 0.5000 0.5000 0.5000
3 Nb 0.2500 0.2500 0.2500
4 Fe 0.7500 0.7500 0.7500
5 O 0.9999 0.9999 0.5001
6 O 0.9999 0.5001 0.9999
7 O 0.9999 0.5001 0.5001
8 O 0.5001 0.9999 0.9999
9 O 0.5001 0.9999 0.5001
10 O 0.5001 0.5001 0.9999

Top 10 peaks for 10° ≤ 2θ ≤ 90°, sorted by position:
2θ/deg  d (Å)  I/Imax
19.2  4.618  29.0
31.6  2.828  100.0
37.3  2.411  17.5
39.0  2.309  7.1
45.4  1.999  35.2
49.7  1.835  7.9
56.4  1.633  38.3
66.1  1.414  20.6
75.1  1.265  16.3
83.8  1.154  6.8



No. 2
This entry pairs a crystal structure of CaEuFe4O12 with its theoretical powder XRD pattern. Radiation: Cu Kα, 1.54184 Å. Structure: the PBE+U geometry in the Materials Project.
No peak broadening, texture or thermal motion is included.

Cell and atoms:
a = 5.3458 Å, b = 5.3458 Å, c = 7.6195 Å
α = 90.00°, β = 90.00°, γ = 90.00°
Sites, in units of the cell vectors:
1 Ca 0.0000 0.0000 0.0000
2 Eu 0.5000 0.5000 0.5000
3 Fe 0.0000 0.5000 0.2483
4 Fe 0.0000 0.5000 0.7517
5 Fe 0.5000 0.0000 0.2483
6 Fe 0.5000 0.0000 0.7517
7 O 0.0000 0.5000 0.0000
8 O 0.0000 0.5000 0.5000
9 O 0.2531 0.2531 0.2557
10 O 0.2531 0.2531 0.7443
11 O 0.2531 0.7469 0.2557
12 O 0.2531 0.7469 0.7443
13 O 0.5000 0.0000 0.0000
14 O 0.5000 0.0000 0.5000
15 O 0.7469 0.2531 0.2557
16 O 0.7469 0.2531 0.7443
17 O 0.7469 0.7469 0.2557
18 O 0.7469 0.7469 0.7443

Top 10 peaks for 10° ≤ 2θ ≤ 90°, sorted by position:
2θ/deg  d (Å)  I/Imax
11.6  7.619  26.3
16.6  5.346  24.7
20.3  4.376  99.9
33.4  2.683  100.0
33.5  2.673  49.5
39.5  2.281  35.8
47.7  1.905  24.7
48.1  1.890  48.3
59.9  1.545  36.6
70.1  1.342  26.6



No. 3
This entry pairs a crystal structure of SrCaEuFeO6 with its theoretical powder XRD pattern. Radiation: Cu Kα, 1.54184 Å. Structure: the PBE+U geometry in the Materials Project.
No peak broadening, texture or thermal motion is included.

Cell and atoms:
a = 5.7135 Å, b = 5.7135 Å, c = 5.7135 Å
α = 60.00°, β = 60.00°, γ = 60.00°
Sites, in units of the cell vectors:
1 Sr 0.0000 0.0000 0.0000
2 Ca 0.2500 0.2500 0.2500
3 Eu 0.5000 0.5000 0.5000
4 Fe 0.7500 0.7500 0.7500
5 O 0.5204 0.5204 0.9796
6 O 0.5204 0.9796 0.5204
7 O 0.5204 0.9796 0.9796
8 O 0.9796 0.5204 0.5204
9 O 0.9796 0.5204 0.9796
10 O 0.9796 0.9796 0.5204

Top 10 peaks for 10° ≤ 2θ ≤ 90°, sorted by position:
2θ/deg  d (Å)  I/Imax
19.0  4.665  11.3
22.0  4.040  11.9
31.3  2.857  100.0
38.6  2.333  21.5
44.9  2.020  34.8
50.5  1.807  7.3
55.7  1.649  37.8
65.3  1.428  20.2
74.2  1.278  17.2
82.8  1.166  6.6